Structure and calculated powder diffraction line list of InO (a PBE-relaxed structure; Cu Ka).
Kinematic intensities with the Lorentz-polarization factor, no thermal factor.

Atomic structure:
Unit cell a=3.4536 b=3.4536 c=15.8771 alpha=90.00 beta=90.00 gamma=120.00
Space group P-6m2 (No. 187)
Unique sites:
1 In 0.0000 0.0000 0.0900
2 O 0.3333 0.6667 0.1399

The 12 most intense peaks (10 to 90 degrees two-theta), by angle:
two_theta, d (Å), intensity, h k l
11.1, 7.939, 42.4, 0 0 2
22.4, 3.969, 34.3, 0 0 4
28.1, 3.175, 31.8, 0 0 5
29.9, 2.991, 71.3, 1 0 0
30.4, 2.939, 100.0, 1 0 1
32.0, 2.799, 26.4, 1 0 2
37.7, 2.389, 29.7, 1 0 4
41.5, 2.177, 57.3, 1 0 5
45.8, 1.982, 49.9, 1 0 6
50.5, 1.807, 20.8, 1 0 7
53.0, 1.727, 19.8, 1 1 0
53.4, 1.717, 26.3, 1 1 1

---

Structure and calculated powder diffraction line list of NiAsRh (a PBE-relaxed structure; Cu Ka).
Kinematic intensities with the Lorentz-polarization factor, no thermal factor.

Atomic structure:
Unit cell a=3.6147 b=3.6147 c=6.1981 alpha=90.00 beta=90.00 gamma=90.00
Space group P4/nmm (No. 129, origin choice 2)
Unique sites:
1 Ni 0.2500 0.7500 0.0000
2 As 0.2500 0.2500 0.2516
3 Rh 0.2500 0.2500 0.6382

The 12 most intense peaks (10 to 90 degrees two-theta), by angle:
two_theta, d (Å), intensity, h k l
35.1, 2.556, 48.2, 1 1 0
38.1, 2.363, 100.0, 1 1 1
38.3, 2.353, 57.7, 1 0 2
43.8, 2.066, 23.1, 0 0 3
46.0, 1.972, 81.6, 1 1 2
50.5, 1.807, 74.3, 2 0 0
50.9, 1.794, 41.0, 1 0 3
65.1, 1.433, 23.5, 2 1 2
69.0, 1.360, 22.5, 2 0 3
74.2, 1.278, 22.7, 2 2 0
74.5, 1.273, 25.9, 2 1 3
82.2, 1.173, 17.9, 1 0 5

---

Structure and calculated powder diffraction line list of K6Na4Tl13 (a PBE-relaxed structure; Cu Ka).
Kinematic intensities with the Lorentz-polarization factor, no thermal factor.

Atomic structure:
Unit cell a=11.8388 b=11.8388 c=11.8388 alpha=90.00 beta=90.00 gamma=90.00
Space group Im-3 (No. 204)
Unique sites:
1 K 0.0000 0.1721 0.5000
2 Na 0.2500 0.2500 0.2500
3 Tl 0.0000 0.0000 0.0000
4 Tl 0.0000 0.2411 0.1415

The 12 most intense peaks (10 to 90 degrees two-theta), by angle:
two_theta, d (Å), intensity, h k l
10.6, 8.371, 100.0, 1 1 0
23.8, 3.744, 12.6, 3 1 0
28.2, 3.164, 51.0, 3 1 2
30.2, 2.960, 15.8, 4 0 0
32.1, 2.790, 22.6, 4 1 1
33.9, 2.647, 65.4, 4 2 0
35.6, 2.524, 30.2, 3 3 2
37.2, 2.417, 18.3, 4 2 2
38.8, 2.322, 20.9, 5 0 1
47.3, 1.921, 14.1, 5 2 3
56.0, 1.642, 18.5, 6 4 0
58.3, 1.582, 17.2, 6 2 4

---

Structure and calculated powder diffraction line list of TiSi6Mo2 (a PBE-relaxed structure; Cu Ka).
Kinematic intensities with the Lorentz-polarization factor, no thermal factor.

Atomic structure:
Unit cell a=4.7120 b=8.0899 c=6.4871 alpha=90.00 beta=90.00 gamma=90.00
Space group C222 (No. 21)
Unique sites:
1 Ti 0.0000 0.0000 0.0000
2 Si 0.0000 0.3423 0.0000
3 Si 0.2423 0.4177 0.3312
4 Mo 0.2500 0.2500 0.6681

The 12 most intense peaks (10 to 90 degrees two-theta), by angle:
two_theta, d (Å), intensity, h k l
22.0, 4.045, 19.2, 0 2 0
25.8, 3.449, 62.2, 1 1 1
26.0, 3.432, 17.6, 0 2 1
35.4, 2.535, 35.2, 1 1 2
40.7, 2.214, 39.9, 2 0 1
41.0, 2.202, 100.0, 1 3 1
41.8, 2.162, 48.4, 0 0 3
47.7, 1.906, 31.4, 2 0 2
47.9, 1.898, 60.3, 1 3 2
70.7, 1.333, 19.8, 1 3 4
70.9, 1.328, 18.9, 3 3 1
76.0, 1.252, 18.7, 3 3 2

---

Structure and calculated powder diffraction line list of Ba8Si43Ni3 (a PBE-relaxed structure; Cu Ka).
Kinematic intensities with the Lorentz-polarization factor, no thermal factor.

Atomic structure:
Unit cell a=14.6804 b=14.6804 c=17.9852 alpha=90.00 beta=90.00 gamma=120.00
Space group R32 (No. 155, hexagonal axes)
Unique sites:
1 Ba 0.0000 0.0000 0.2460
2 Ba 0.0000 0.2408 0.0000
3 Ba 0.0000 0.7404 0.5000
4 Si 0.0000 0.0000 0.0658
5 Si 0.0000 0.0000 0.4344
6 Si 0.0000 0.2501 0.5000
7 Si 0.0183 0.8502 0.1004
8 Si 0.0266 0.1667 0.6100
9 Si 0.0634 0.2426 0.1868
10 Si 0.0636 0.8080 0.6864
11 Si 0.0870 0.5437 0.4773
12 Si 0.0877 0.5447 0.9790
13 Ni 0.0000 0.7503 0.0000

The 12 most intense peaks (10 to 90 degrees two-theta), by angle:
two_theta, d (Å), intensity, h k l
19.1, 4.643, 13.5, 2 1 1
21.0, 4.238, 29.7, 3 0 0
29.8, 2.997, 27.3, 0 0 6
31.1, 2.879, 32.9, 1 2 5
32.3, 2.775, 100.0, 2 3 2
34.6, 2.595, 24.5, 4 0 4
38.8, 2.321, 13.2, 2 2 6
49.7, 1.835, 12.1, 0 4 8
52.9, 1.730, 17.9, 6 0 6
54.5, 1.684, 37.2, 2 5 6
66.1, 1.413, 12.7, 9 0 0
71.6, 1.318, 11.8, 7 4 0

---

Structure and calculated powder diffraction line list of Mg16Al12Te (a PBE-relaxed structure; Cu Ka).
Kinematic intensities with the Lorentz-polarization factor, no thermal factor.

Atomic structure:
Unit cell a=14.8101 b=14.8101 c=9.4006 alpha=90.00 beta=90.00 gamma=120.00
Space group R3m (No. 160, hexagonal axes)
Unique sites:
1 Mg 0.0000 0.0000 0.0000
2 Mg 0.0424 0.3612 0.3454
3 Mg 0.1015 0.5507 0.5384
4 Mg 0.1034 0.2069 0.4864
5 Mg 0.2018 0.4037 0.0990
6 Al 0.9997 0.1871 0.1631
7 Al 0.1264 0.0632 0.6936
8 Al 0.2102 0.4204 0.5923
9 Te 0.0000 0.0000 0.3481

The 12 most intense peaks (10 to 90 degrees two-theta), by angle:
two_theta, d (Å), intensity, h k l
11.7, 7.582, 28.0, 1 0 1
12.0, 7.405, 43.4, 1 1 0
16.7, 5.298, 18.1, 0 2 1
20.6, 4.309, 20.1, 2 1 1
33.8, 2.649, 16.7, 0 4 2
35.5, 2.527, 100.0, 3 0 3
36.0, 2.494, 92.8, 2 3 2
36.4, 2.471, 86.1, 3 3 0
40.3, 2.237, 42.6, 5 1 1
41.9, 2.154, 18.4, 4 2 2
61.1, 1.517, 17.1, 8 0 2
64.9, 1.436, 20.4, 3 6 3